Starting from a DFT-relaxed cell (GGA+U, Alexandria), the powder diffractogram of K8MgMn4O16 was computed for Cu Kα (λ = 1.5418 Å).
No peak broadening, texture or thermal motion is included.

Atomic structure:
```
K8MgMn4O16
1.0
5.7359 0.0000 0.0000
-0.1821 7.9241 0.0000
-0.4082 -0.1269 11.3137
K Mg Mn O
8 1 4 16
direct
0.0000 0.0000 0.0000
0.0120 0.8185 0.3582
0.0263 0.3309 0.2473
0.4584 0.3491 0.8515
0.4829 0.8633 0.8006
0.5037 0.6818 0.1515
0.5201 0.0775 0.4540
0.9587 0.6436 0.7102
0.0949 0.3614 0.5307
0.5114 0.1214 0.1457
0.5547 0.5708 0.4833
0.9354 0.1220 0.6745
0.9912 0.5623 0.0007
0.0003 0.1118 0.5221
0.0001 0.6336 0.1411
0.0494 0.9666 0.7584
0.0682 0.3203 0.7030
0.2199 0.6434 0.9326
0.2787 0.0412 0.2116
0.3699 0.4008 0.4374
0.4899 0.6189 0.6250
0.5008 0.0613 0.0030
0.5085 0.7380 0.3932
0.5169 0.3294 0.1546
0.6447 0.1295 0.6863
0.7469 0.0411 0.2127
0.7527 0.6336 0.9311
0.8519 0.5183 0.4754
0.9992 0.3547 0.0016
```

Most intense lines, 10 to 90 degrees two-theta, low angle first:
2θ = 19.38°, rel. 44.6; 2θ = 20.64°, rel. 27.7; 2θ = 22.44°, rel. 31.3; 2θ = 27.34°, rel. 67.2; 2θ = 27.84°, rel. 52.0; 2θ = 28.12°, rel. 69.1; 2θ = 28.81°, rel. 65.5; 2θ = 29.02°, rel. 36.0; 2θ = 31.22°, rel. 100.0; 2θ = 31.63°, rel. 19.6; 2θ = 39.35°, rel. 39.1; 2θ = 42.00°, rel. 35.1

Starting from a DFT-relaxed cell (GGA+U, Alexandria), the powder diffractogram of K2Sm2MgMo4O16 was computed for Cu Kα (λ = 1.5418 Å).
No peak broadening, texture or thermal motion is included.

Atomic structure:
```
K2Sm2MgMo4O16
1.0
5.5378 -5.4622 0.0000
5.5378 5.4622 0.0000
-4.9165 0.0000 5.7843
K Sm Mg Mo O
2 2 1 4 16
direct
0.0000 0.0000 0.0000
0.6833 0.3167 0.5000
0.0246 0.9754 0.5000
0.5536 0.4464 0.0000
0.4164 0.5836 0.5000
0.0734 0.5118 0.5306
0.0914 0.5050 0.0314
0.4882 0.9266 0.4694
0.4950 0.9086 0.9686
0.0079 0.2467 0.4423
0.0458 0.5838 0.8166
0.1451 0.4272 0.2797
0.1640 0.2805 0.8795
0.1646 0.7852 0.2802
0.2148 0.8354 0.7198
0.3908 0.5683 0.7470
0.4085 0.1455 0.6179
0.4162 0.9542 0.1834
0.4317 0.6092 0.2530
0.5689 0.1701 0.0652
0.5728 0.8549 0.7203
0.7195 0.8360 0.1205
0.7533 0.9921 0.5577
0.8299 0.4311 0.9348
0.8545 0.5915 0.3821
```

Most intense lines, 10 to 90 degrees two-theta, low angle first:
2θ = 14.22°, rel. 58.5; 2θ = 26.70°, rel. 100.0; 2θ = 27.17°, rel. 24.0; 2θ = 28.66°, rel. 89.7; 2θ = 30.92°, rel. 39.4; 2θ = 32.52°, rel. 24.6; 2θ = 32.83°, rel. 26.8; 2θ = 45.69°, rel. 20.9; 2θ = 48.01°, rel. 20.2; 2θ = 48.18°, rel. 16.0; 2θ = 54.74°, rel. 18.3; 2θ = 54.94°, rel. 16.7